# 1
Starting from a crystal structure in the Materials Project, relaxed with GGA-PBE, the powder diffraction line list of Tm2SiO5 was computed for Cu Ka.
Peak positions follow from Bragg's law for the DFT cell and can differ from measured ones.

Structure:
a b c (Å): 9.158 6.693 6.701
angles (deg): 90.00 101.51 90.00
Fractional positions:
1 Tm 0.034 0.118 0.228
2 Tm 0.034 0.382 0.728
3 Tm 0.354 0.142 0.005
4 Tm 0.354 0.358 0.505
5 Tm 0.646 0.642 0.495
6 Tm 0.646 0.858 0.995
7 Tm 0.966 0.618 0.272
8 Tm 0.966 0.882 0.772
9 Si 0.297 0.597 0.997
10 Si 0.297 0.903 0.497
11 Si 0.703 0.097 0.503
12 Si 0.703 0.403 0.003
13 O 0.107 0.122 0.926
14 O 0.107 0.378 0.426
15 O 0.115 0.646 0.969
16 O 0.115 0.854 0.469
17 O 0.290 0.062 0.301
18 O 0.290 0.438 0.801
19 O 0.352 0.063 0.682
20 O 0.352 0.437 0.182
21 O 0.400 0.705 0.502
22 O 0.400 0.795 0.002
23 O 0.600 0.205 0.998
24 O 0.600 0.295 0.498
25 O 0.648 0.563 0.818
26 O 0.648 0.937 0.318
27 O 0.710 0.562 0.199
28 O 0.710 0.938 0.699
29 O 0.885 0.146 0.531
30 O 0.885 0.354 0.031
31 O 0.893 0.622 0.574
32 O 0.893 0.878 0.074

The 10 most intense peaks (2θ from 10° to 90°), by angle:
2θ 16.5, I = 61; 2θ 18.9, I = 30; 2θ 27.0, I = 47; 2θ 29.9, I = 95; 2θ 30.8, I = 37; 2θ 32.5, I = 100; 2θ 33.2, I = 44; 2θ 34.6, I = 55; 2θ 49.1, I = 35; 2θ 57.4, I = 31

=====

# 2
Starting from a crystal structure in the Materials Project, relaxed with GGA-PBE, the powder diffraction line list of Li2NbP2O8 was computed for Cu Ka.
Peak positions follow from Bragg's law for the DFT cell and can differ from measured ones.

Structure:
a b c (Å): 5.147 8.169 8.996
angles (deg): 90.00 120.95 90.00
Fractional positions:
1 Li 0.002 0.129 0.403
2 Li 0.002 0.371 0.903
3 Li 0.998 0.629 0.097
4 Li 0.998 0.871 0.597
5 Nb 0.000 0.000 0.000
6 Nb 0.000 0.500 0.500
7 P 0.333 0.191 0.797
8 P 0.333 0.309 0.297
9 P 0.667 0.691 0.703
10 P 0.667 0.809 0.203
11 O 0.196 0.074 0.646
12 O 0.196 0.426 0.146
13 O 0.204 0.132 0.241
14 O 0.204 0.368 0.741
15 O 0.267 0.145 0.943
16 O 0.267 0.355 0.443
17 O 0.309 0.686 0.613
18 O 0.309 0.814 0.113
19 O 0.691 0.186 0.887
20 O 0.691 0.314 0.387
21 O 0.733 0.645 0.557
22 O 0.733 0.855 0.057
23 O 0.796 0.632 0.259
24 O 0.796 0.868 0.759
25 O 0.804 0.574 0.854
26 O 0.804 0.926 0.354

The 10 most intense peaks (2θ from 10° to 90°), by angle:
2θ 15.8, I = 100; 2θ 21.4, I = 31; 2θ 22.9, I = 28; 2θ 24.1, I = 22; 2θ 29.8, I = 32; 2θ 30.1, I = 15; 2θ 30.7, I = 17; 2θ 31.9, I = 33; 2θ 34.9, I = 16; 2θ 37.4, I = 15

=====

# 3
Starting from a crystal structure in the Materials Project, relaxed with GGA-PBE, the powder diffraction line list of GdInAu2 was computed for Cu Ka.
Peak positions follow from Bragg's law for the DFT cell and can differ from measured ones.

Structure:
a b c (Å): 5.151 5.151 5.151
angles (deg): 60.00 60.00 60.00
Fractional positions:
1 Gd 0.000 0.000 0.000
2 In 0.500 0.500 0.500
3 Au 0.250 0.250 0.250
4 Au 0.750 0.750 0.750

The 10 most intense peaks (2θ from 10° to 90°), by angle:
2θ 21.1, I = 1; 2θ 24.4, I = 4; 2θ 34.8, I = 100; 2θ 43.0, I = 1; 2θ 50.1, I = 18; 2θ 56.5, I = 2; 2θ 62.5, I = 37; 2θ 73.5, I = 12; 2θ 78.8, I = 1; 2θ 84.0, I = 17

=====

# 4
Starting from a crystal structure in the Materials Project, relaxed with GGA-PBE, the powder diffraction line list of MgC8N6 was computed for Cu Ka.
Peak positions follow from Bragg's law for the DFT cell and can differ from measured ones.

Structure:
a b c (Å): 12.916 12.916 5.737
angles (deg): 90.00 90.00 120.00
Fractional positions:
1 Mg 0.000 0.000 0.000
2 Mg 0.333 0.667 0.742
3 Mg 0.667 0.333 0.742
4 C 0.000 0.219 0.690
5 C 0.000 0.318 0.589
6 C 0.000 0.660 0.077
7 C 0.000 0.764 0.143
8 C 0.107 0.662 0.018
9 C 0.108 0.425 0.560
10 C 0.219 0.000 0.690
11 C 0.236 0.236 0.143
12 C 0.317 0.892 0.560
13 C 0.318 0.000 0.589
14 C 0.338 0.445 0.018
15 C 0.340 0.340 0.077
16 C 0.425 0.108 0.560
17 C 0.445 0.338 0.018
18 C 0.555 0.893 0.018
19 C 0.575 0.683 0.560
20 C 0.660 0.000 0.077
21 C 0.662 0.107 0.018
22 C 0.682 0.682 0.589
23 C 0.683 0.575 0.560
24 C 0.764 0.000 0.143
25 C 0.781 0.781 0.690
26 C 0.892 0.317 0.560
27 C 0.893 0.555 0.018
28 N 0.000 0.137 0.780
29 N 0.000 0.852 0.191
30 N 0.137 0.000 0.780
31 N 0.148 0.148 0.191
32 N 0.192 0.660 0.959
33 N 0.199 0.515 0.543
34 N 0.317 0.801 0.543
35 N 0.340 0.532 0.959
36 N 0.468 0.808 0.959
37 N 0.485 0.683 0.543
38 N 0.515 0.199 0.543
39 N 0.532 0.340 0.959
40 N 0.660 0.192 0.959
41 N 0.683 0.485 0.543
42 N 0.801 0.317 0.543
43 N 0.808 0.468 0.959
44 N 0.852 0.000 0.191
45 N 0.863 0.863 0.780

The 10 most intense peaks (2θ from 10° to 90°), by angle:
2θ 13.7, I = 18; 2θ 15.4, I = 13; 2θ 17.4, I = 8; 2θ 20.7, I = 100; 2θ 26.2, I = 16; 2θ 27.6, I = 9; 2θ 31.8, I = 14; 2θ 32.8, I = 8; 2θ 37.9, I = 10; 2θ 40.1, I = 9

=====

# 5
Starting from a crystal structure in the Materials Project, relaxed with GGA-PBE, the powder diffraction line list of WCl3 was computed for Cu Ka.
Peak positions follow from Bragg's law for the DFT cell and can differ from measured ones.

Structure:
a b c (Å): 9.636 9.636 9.636
angles (deg): 110.52 110.52 110.52
Fractional positions:
1 W 0.024 0.231 0.147
2 W 0.147 0.024 0.231
3 W 0.231 0.147 0.024
4 W 0.769 0.853 0.976
5 W 0.853 0.976 0.769
6 W 0.976 0.769 0.853
7 Cl 0.041 0.498 0.311
8 Cl 0.097 0.147 0.763
9 Cl 0.147 0.763 0.097
10 Cl 0.195 0.293 0.437
11 Cl 0.237 0.903 0.853
12 Cl 0.293 0.437 0.195
13 Cl 0.311 0.041 0.498
14 Cl 0.437 0.195 0.293
15 Cl 0.498 0.311 0.041
16 Cl 0.502 0.689 0.959
17 Cl 0.563 0.805 0.707
18 Cl 0.689 0.959 0.502
19 Cl 0.707 0.563 0.805
20 Cl 0.763 0.097 0.147
21 Cl 0.805 0.707 0.563
22 Cl 0.853 0.237 0.903
23 Cl 0.903 0.853 0.237
24 Cl 0.959 0.502 0.689

The 10 most intense peaks (2θ from 10° to 90°), by angle:
2θ 11.2, I = 100; 2θ 11.6, I = 74; 2θ 16.2, I = 11; 2θ 31.5, I = 9; 2θ 34.6, I = 30; 2θ 40.0, I = 15; 2θ 41.7, I = 10; 2θ 42.4, I = 8; 2θ 44.8, I = 13; 2θ 45.5, I = 9

=====

# 6
Starting from a crystal structure in the Materials Project, relaxed with GGA-PBE, the powder diffraction line list of ZnRuN2 was computed for Cu Ka.
Peak positions follow from Bragg's law for the DFT cell and can differ from measured ones.

Structure:
a b c (Å): 5.690 6.452 5.373
angles (deg): 90.00 90.00 90.00
Fractional positions:
1 Zn 0.082 0.120 0.000
2 Zn 0.418 0.620 0.500
3 Zn 0.582 0.380 0.000
4 Zn 0.918 0.880 0.500
5 Ru 0.063 0.632 0.000
6 Ru 0.437 0.132 0.500
7 Ru 0.563 0.868 0.000
8 Ru 0.937 0.368 0.500
9 N 0.081 0.620 0.360
10 N 0.112 0.130 0.383
11 N 0.388 0.630 0.883
12 N 0.419 0.120 0.860
13 N 0.581 0.880 0.360
14 N 0.612 0.370 0.383
15 N 0.888 0.870 0.883
16 N 0.919 0.380 0.860

The 10 most intense peaks (2θ from 10° to 90°), by angle:
2θ 31.4, I = 25; 2θ 31.9, I = 28; 2θ 33.3, I = 47; 2θ 35.7, I = 36; 2θ 36.1, I = 100; 2θ 46.5, I = 14; 2θ 46.8, I = 13; 2θ 56.3, I = 23; 2θ 61.4, I = 29; 2θ 67.0, I = 21

=====

Copy entry 3 word for word.
Starting from a crystal structure in the Materials Project, relaxed with GGA-PBE, the powder diffraction line list of GdInAu2 was computed for Cu Ka.
Peak positions follow from Bragg's law for the DFT cell and can differ from measured ones.

Structure:
a b c (Å): 5.151 5.151 5.151
angles (deg): 60.00 60.00 60.00
Fractional positions:
1 Gd 0.000 0.000 0.000
2 In 0.500 0.500 0.500
3 Au 0.250 0.250 0.250
4 Au 0.750 0.750 0.750

The 10 most intense peaks (2θ from 10° to 90°), by angle:
2θ 21.1, I = 1; 2θ 24.4, I = 4; 2θ 34.8, I = 100; 2θ 43.0, I = 1; 2θ 50.1, I = 18; 2θ 56.5, I = 2; 2θ 62.5, I = 37; 2θ 73.5, I = 12; 2θ 78.8, I = 1; 2θ 84.0, I = 17